Entry 1:
Structure and calculated X-ray powder pattern of CeDy3Tl5 (a GGA-PBE-relaxed structure; λ = 1.5418 Å (Cu Kα)).

The 10 most intense peaks (2θ from 10° to 80°), sorted by position:
2θ/deg  Rel. int.  index
32.04  16  2 1 1
32.78  100  3 0 0
33.57  93  1 1 2
47.63  32  2 2 2
56.96  8  0 0 4
58.52  14  3 3 0
59.02  33  4 1 2
61.57  8  4 2 1
67.30  26  3 0 4
78.69  14  5 2 2

Structural model:
```
data_CeDy3Tl5
_space_group_name_H-M_alt 'P 63/m c m'
_space_group_IT_number 193
_space_group_name_Hall '-P 6c 2'
_cell_length_a 9.4642
_cell_length_b 9.4642
_cell_length_c 6.4665
_cell_angle_alpha 90.00
_cell_angle_beta 90.00
_cell_angle_gamma 120.00
loop_
_atom_site_label
_atom_site_type_symbol
_atom_site_fract_x
_atom_site_fract_y
_atom_site_fract_z
Ce1 Ce 0.0000 0.0000 0.0000
Dy1 Dy 0.0000 0.3654 0.2500
Tl1 Tl 0.0000 0.3047 0.7500
Tl2 Tl 0.3333 0.6667 0.0000
```

=====

Entry 2:
Structure and calculated X-ray powder pattern of CeDyTl (a GGA-PBE-relaxed structure; λ = 1.5418 Å (Cu Kα)).

The 10 most intense peaks (2θ from 10° to 80°), sorted by position:
2θ/deg  Rel. int.  index
26.28  9  0 0 2
32.55  88  1 0 2
32.97  100  1 1 0
42.64  15  1 1 2
47.00  32  0 2 2
58.60  33  2 1 2
58.87  19  3 0 0
64.82  25  1 1 4
69.15  12  2 2 0
78.52  14  1 3 2

Structural model:
```
data_CeDyTl
_space_group_name_H-M_alt 'P 3 m 1'
_space_group_IT_number 156
_space_group_name_Hall 'P 3 -2"'
_cell_length_a 5.4342
_cell_length_b 5.4342
_cell_length_c 6.7820
_cell_angle_alpha 90.00
_cell_angle_beta 90.00
_cell_angle_gamma 120.00
loop_
_atom_site_label
_atom_site_type_symbol
_atom_site_fract_x
_atom_site_fract_y
_atom_site_fract_z
Ce1 Ce 0.0000 0.0000 0.0000
Ce2 Ce 0.3333 0.6667 0.7731
Dy1 Dy 0.0000 0.0000 0.4928
Dy2 Dy 0.6667 0.3333 0.2415
Tl1 Tl 0.3333 0.6667 0.2682
Tl2 Tl 0.6667 0.3333 0.7345
```

=====

Entry 3:
Structure and calculated X-ray powder pattern of CeDy5Tl8 (a GGA-PBE-relaxed structure; λ = 1.5418 Å (Cu Kα)).

The 10 most intense peaks (2θ from 10° to 80°), sorted by position:
2θ/deg  Rel. int.  index
23.45  12  2 1 1
30.00  54  1 0 3
30.48  100  3 0 1
35.85  44  2 1 3
36.09  47  3 1 2
36.24  50  3 2 1
47.50  15  2 2 4
47.96  22  2 4 2
61.66  23  6 1 1
64.48  11  1 4 5

Structural model:
```
data_CeDy5Tl8
_space_group_name_H-M_alt 'I -4'
_space_group_IT_number 82
_space_group_name_Hall 'I -4'
_cell_length_a 9.2640
_cell_length_b 9.2640
_cell_length_c 9.4356
_cell_angle_alpha 90.00
_cell_angle_beta 90.00
_cell_angle_gamma 90.00
loop_
_atom_site_label
_atom_site_type_symbol
_atom_site_fract_x
_atom_site_fract_y
_atom_site_fract_z
Ce1 Ce 0.0000 0.0000 0.0000
Dy1 Dy 0.0000 0.5000 0.7500
Dy2 Dy 0.1310 0.2532 0.3682
Tl1 Tl 0.0828 0.1665 0.6970
Tl2 Tl 0.0837 0.3383 0.0415
```

=====

Entry 4:
Structure and calculated X-ray powder pattern of Ce2Dy8Tm3 (a GGA-PBE-relaxed structure; λ = 1.5418 Å (Cu Kα)).

The 10 most intense peaks (2θ from 10° to 80°), sorted by position:
2θ/deg  Rel. int.  index
29.62  18  2 0 -4
30.83  97  4 0 0
31.17  67  1 1 3
31.55  100  4 2 -1
31.69  91  1 3 2
31.99  21  1 1 -4
34.46  17  4 2 0
38.10  20  3 3 -4
54.28  18  4 6 -2
62.77  22  6 0 -8

Structural model:
```
data_Ce2Dy8Tm3
_space_group_name_H-M_alt 'C 1 2/c 1'
_space_group_IT_number 15
_space_group_name_Hall '-C 2yc'
_cell_length_a 13.3888
_cell_length_b 11.7608
_cell_length_c 12.0835
_cell_angle_alpha 90.00
_cell_angle_beta 119.95
_cell_angle_gamma 90.00
loop_
_atom_site_label
_atom_site_type_symbol
_atom_site_fract_x
_atom_site_fract_y
_atom_site_fract_z
Ce1 Ce 0.0373 0.1603 0.0486
Dy1 Dy 0.1078 0.3131 0.7271
Dy2 Dy 0.2143 0.1570 0.3890
Dy3 Dy 0.2237 0.3721 0.0422
Dy4 Dy 0.2279 0.0507 0.6680
Tm1 Tm 0.0000 0.0458 0.7500
Tm2 Tm 0.0000 0.3767 0.2500
Tm3 Tm 0.0000 0.5000 0.0000
```

=====

Entry 5:
Structure and calculated X-ray powder pattern of CeDy2Tm3 (a GGA-PBE-relaxed structure; λ = 1.5418 Å (Cu Kα)).

The 10 most intense peaks (2θ from 10° to 80°), sorted by position:
2θ/deg  Rel. int.  index
30.90  29  0 0 4
31.02  28  2 0 0
32.55  100  1 3 2
44.35  21  2 0 4
48.96  8  0 6 0
56.01  22  1 3 6
56.16  20  3 3 2
59.06  18  0 6 4
68.18  12  2 6 4
74.16  9  3 3 6

Structural model:
```
data_CeDy2Tm3
_space_group_name_H-M_alt 'I b a m'
_space_group_IT_number 72
_space_group_name_Hall '-I 2 2c'
_cell_length_a 5.7653
_cell_length_b 11.1623
_cell_length_c 11.5763
_cell_angle_alpha 90.00
_cell_angle_beta 90.00
_cell_angle_gamma 90.00
loop_
_atom_site_label
_atom_site_type_symbol
_atom_site_fract_x
_atom_site_fract_y
_atom_site_fract_z
Ce1 Ce 0.0000 0.0000 0.0000
Dy1 Dy 0.0200 0.3299 0.0000
Tm1 Tm 0.0000 0.1705 0.2500
Tm2 Tm 0.0000 0.5000 0.2500
```

=====

Entry 6:
Structure and calculated X-ray powder pattern of CeDy6Tm8 (a GGA-PBE-relaxed structure; λ = 1.5418 Å (Cu Kα)).

The 10 most intense peaks (2θ from 10° to 80°), sorted by position:
2θ/deg  Rel. int.  index
26.03  39  0 2 1
29.22  15  2 1 0
29.88  17  0 1 2
32.43  94  2 1 1
33.24  76  3 0 0
33.83  100  2 -1 2
36.13  16  0 3 1
51.25  24  5 -2 1
53.88  18  5 -1 1
60.89  14  1 1 4

Structural model:
```
data_CeDy6Tm8
_space_group_name_H-M_alt 'P -3'
_space_group_IT_number 147
_space_group_name_Hall '-P 3'
_cell_length_a 9.3368
_cell_length_b 9.3368
_cell_length_c 6.4370
_cell_angle_alpha 90.00
_cell_angle_beta 90.00
_cell_angle_gamma 120.00
loop_
_atom_site_label
_atom_site_type_symbol
_atom_site_fract_x
_atom_site_fract_y
_atom_site_fract_z
Ce1 Ce 0.0000 0.0000 0.0000
Dy1 Dy 0.0959 0.6818 0.0885
Tm1 Tm 0.0250 0.3383 0.4069
Tm2 Tm 0.3333 0.6667 0.6655
```

=====

Entry 7:
Structure and calculated X-ray powder pattern of CeDy4Tm3 (a GGA-PBE-relaxed structure; λ = 1.5418 Å (Cu Kα)).

The 10 most intense peaks (2θ from 10° to 80°), sorted by position:
2θ/deg  Rel. int.  index
28.73  24  0 0 2
31.96  24  4 0 0
32.97  100  2 2 1
43.50  16  4 0 2
50.82  7  0 4 0
50.95  13  0 2 3
57.60  20  6 2 1
61.30  8  4 4 0
61.41  15  4 2 3
61.94  11  2 4 2

Structural model:
```
data_CeDy4Tm3
_space_group_name_H-M_alt 'P m n 21'
_space_group_IT_number 31
_space_group_name_Hall 'P 2ac -2'
_cell_length_a 11.2022
_cell_length_b 7.1864
_cell_length_c 6.2047
_cell_angle_alpha 90.00
_cell_angle_beta 90.00
_cell_angle_gamma 90.00
loop_
_atom_site_label
_atom_site_type_symbol
_atom_site_fract_x
_atom_site_fract_y
_atom_site_fract_z
Ce1 Ce 0.0000 0.1238 0.0000
Dy1 Dy 0.0000 0.3719 0.5003
Dy2 Dy 0.0000 0.6281 0.9977
Dy3 Dy 0.2502 0.3729 0.8377
Tm1 Tm 0.0000 0.8770 0.5024
Tm2 Tm 0.2498 0.1223 0.3318
```

=====

Entry 8:
Structure and calculated X-ray powder pattern of CeDy2Tm4 (a GGA-PBE-relaxed structure; λ = 1.5418 Å (Cu Kα)).

The 10 most intense peaks (2θ from 10° to 80°), sorted by position:
2θ/deg  Rel. int.  index
29.16  33  2 0 -1
31.72  54  0 0 7
32.89  100  1 1 3
33.63  96  1 1 -4
51.63  42  0 2 0
56.77  21  1 1 10
58.22  20  1 1 -11
61.87  33  0 2 7
61.89  16  3 1 6
62.58  16  4 0 2

Structural model:
```
data_CeDy2Tm4
_space_group_name_H-M_alt 'C 1 m 1'
_space_group_IT_number 8
_space_group_name_Hall 'C -2y'
_cell_length_a 6.1315
_cell_length_b 3.5416
_cell_length_c 19.8506
_cell_angle_alpha 90.00
_cell_angle_beta 95.92
_cell_angle_gamma 90.00
loop_
_atom_site_label
_atom_site_type_symbol
_atom_site_fract_x
_atom_site_fract_y
_atom_site_fract_z
Ce1 Ce 0.0000 0.0000 0.0000
Dy1 Dy 0.0944 0.0000 0.2870
Dy2 Dy 0.1891 0.0000 0.5725
Tm1 Tm 0.2850 0.0000 0.8558
Tm2 Tm 0.3081 0.5000 0.4302
Tm3 Tm 0.3812 0.0000 0.1444
Tm4 Tm 0.4039 0.5000 0.7157
```